1.
# Cs4ZrO4
Computed powder X-ray diffraction pattern, λ = 1.5418 Å (Cu Kα). Input: a GGA-PBE-relaxed structure.
Kinematic intensities with the Lorentz-polarization factor, no thermal factor.

Cell and atoms:
```
data_Cs4ZrO4
_cell_length_a 7.288
_cell_length_b 20.239
_cell_length_c 7.304
_cell_angle_alpha 90.00
_cell_angle_beta 113.29
_cell_angle_gamma 90.00
_space_group_name_H-M_alt 'P 1 21/c 1'
_space_group_IT_number 14
_space_group_name_Hall '-P 2ybc'
loop_
_atom_site_label
_atom_site_type_symbol
_atom_site_fract_x
_atom_site_fract_y
_atom_site_fract_z
Cs1 Cs 0.160 0.082 0.224
Cs2 Cs 0.198 0.216 0.677
Cs3 Cs 0.280 0.014 0.750
Cs4 Cs 0.314 0.690 0.317
Zr1 Zr 0.245 0.623 0.799
O1 O 0.072 0.690 0.604
O2 O 0.094 0.595 0.964
O3 O 0.291 0.548 0.639
O4 O 0.499 0.667 0.979
```

Top 12 peaks for 5 to 70 degrees two-theta, low angle first:
- d 3.464, intensity 31, hkl 1 5 0
- d 3.372, intensity 100, hkl 1 5 -1
- d 3.351, intensity 87, hkl 0 0 2
- d 3.306, intensity 38, hkl 0 1 2
- d 3.143, intensity 25, hkl 1 4 1
- d 3.047, intensity 53, hkl 2 0 -2
- d 2.849, intensity 58, hkl 1 5 1
- d 2.702, intensity 18, hkl 1 5 -2
- d 2.187, intensity 16, hkl 3 4 -1
- d 2.081, intensity 34, hkl 1 5 -3
- d 1.938, intensity 20, hkl 0 10 1
- d 1.767, intensity 13, hkl 2 10 -1

=====

2.
# Na2MgCu2O4
Computed powder X-ray diffraction pattern, λ = 1.5418 Å (Cu Kα). Input: a GGA-PBE-relaxed structure.
Kinematic intensities with the Lorentz-polarization factor, no thermal factor.

Cell and atoms:
```
data_Na2MgCu2O4
_cell_length_a 5.606
_cell_length_b 3.680
_cell_length_c 10.840
_cell_angle_alpha 90.00
_cell_angle_beta 90.00
_cell_angle_gamma 90.00
_space_group_name_H-M_alt 'A m m 2'
_space_group_IT_number 38
_space_group_name_Hall 'A 2 -2'
loop_
_atom_site_label
_atom_site_type_symbol
_atom_site_fract_x
_atom_site_fract_y
_atom_site_fract_z
Na1 Na 0.000 0.000 0.000
Na2 Na 0.500 0.000 0.373
Mg1 Mg 0.000 0.000 0.339
Cu1 Cu 0.000 0.000 0.657
Cu2 Cu 0.500 0.000 0.649
O1 O 0.230 0.000 0.788
O2 O 0.232 0.000 0.528
```

Top 12 peaks for 5 to 70 degrees two-theta, low angle first:
- d 5.420, intensity 38, hkl 0 0 2
- d 3.485, intensity 100, hkl 0 1 1
- d 2.803, intensity 24, hkl 2 0 0
- d 2.578, intensity 39, hkl 0 1 3
- d 2.490, intensity 14, hkl 2 0 2
- d 2.184, intensity 12, hkl 2 1 1
- d 1.948, intensity 28, hkl 2 0 4
- d 1.898, intensity 82, hkl 2 1 3
- d 1.840, intensity 22, hkl 0 2 0
- d 1.807, intensity 10, hkl 0 0 6
- d 1.554, intensity 10, hkl 2 1 5
- d 1.427, intensity 9, hkl 0 1 7

=====

3.
# Ho4Mn
Computed powder X-ray diffraction pattern, λ = 1.5418 Å (Cu Kα). Input: a GGA-PBE-relaxed structure.
Kinematic intensities with the Lorentz-polarization factor, no thermal factor.

Cell and atoms:
Unit cell a=10.380 b=10.380 c=10.380 alpha=90.00 beta=90.00 gamma=90.00
Space group Fd-3m (No. 227, origin choice 2)
Symmetry-distinct sites (fractional):
Ho (0.012, 0.012, 0.238) (multiplicity 32)
Mn (0.125, 0.125, 0.625) (multiplicity 8)

Top 12 peaks for 5 to 70 degrees two-theta, low angle first:
- d 5.993, intensity 1, hkl 1 1 1
- d 3.670, intensity 3, hkl 2 2 0
- d 2.997, intensity 100, hkl 2 2 2
- d 2.595, intensity 41, hkl 4 0 0
- d 2.381, intensity 9, hkl 3 3 1
- d 1.998, intensity 12, hkl 5 1 1
- d 1.835, intensity 39, hkl 4 4 0
- d 1.565, intensity 37, hkl 6 2 2
- d 1.498, intensity 9, hkl 4 4 4
- d 1.454, intensity 6, hkl 5 5 1
- d 1.387, intensity 1, hkl 6 4 2
- d 1.351, intensity 5, hkl 5 5 3

=====

4.
# MgTi2S5
Computed powder X-ray diffraction pattern, λ = 1.5418 Å (Cu Kα). Input: a GGA-PBE-relaxed structure.
Kinematic intensities with the Lorentz-polarization factor, no thermal factor.

Cell and atoms:
```
data_MgTi2S5
_cell_length_a 3.933
_cell_length_b 14.810
_cell_length_c 6.068
_cell_angle_alpha 90.00
_cell_angle_beta 90.00
_cell_angle_gamma 90.00
_space_group_name_H-M_alt 'P m m n'
_space_group_IT_number 59
loop_
_space_group_symop_operation_xyz
'x,y,z'
'-x,-y,-z'
'-x+1/2,-y+1/2,z'
'x+1/2,y+1/2,-z'
'x+1/2,-y,-z'
'-x+1/2,y,z'
'-x,y+1/2,-z'
'x,-y+1/2,z'
loop_
_atom_site_label
_atom_site_type_symbol
_atom_site_fract_x
_atom_site_fract_y
_atom_site_fract_z
Mg1 Mg 0.250 0.250 0.097
Ti1 Ti 0.250 0.599 0.432
S1 S 0.250 0.068 0.364
S2 S 0.250 0.642 0.086
S3 S 0.250 0.750 0.592
```

Top 12 peaks for 5 to 70 degrees two-theta, low angle first:
- d 6.068, intensity 78, hkl 0 0 1
- d 4.693, intensity 50, hkl 0 2 1
- d 3.801, intensity 60, hkl 1 1 0
- d 3.702, intensity 27, hkl 0 4 0
- d 3.300, intensity 77, hkl 1 0 1
- d 2.662, intensity 32, hkl 0 5 1
- d 2.466, intensity 50, hkl 0 6 0
- d 2.368, intensity 43, hkl 1 5 0
- d 2.285, intensity 100, hkl 0 6 1
- d 1.966, intensity 43, hkl 2 0 0
- d 1.799, intensity 27, hkl 1 0 3
- d 1.781, intensity 28, hkl 1 7 1

=====

5.
# SnO2
Computed powder X-ray diffraction pattern, λ = 1.5418 Å (Cu Kα). Input: a GGA-PBE-relaxed structure.
Kinematic intensities with the Lorentz-polarization factor, no thermal factor.

Cell and atoms:
```
data_SnO2
_cell_length_a 6.5072
_cell_length_b 6.5072
_cell_length_c 14.6096
_cell_angle_alpha 90.00
_cell_angle_beta 90.00
_cell_angle_gamma 120.00
_space_group_name_H-M_alt 'P 3 m 1'
_space_group_IT_number 156
_space_group_name_Hall 'P 3 -2"'
loop_
_atom_site_label
_atom_site_type_symbol
_atom_site_fract_x
_atom_site_fract_y
_atom_site_fract_z
Sn1 Sn 0.0000 0.0000 0.0000
Sn2 Sn 0.0000 0.0000 0.4007
Sn3 Sn 0.0176 0.5088 0.4829
Sn4 Sn 0.1636 0.3271 0.8187
Sn5 Sn 0.3500 0.1750 0.1713
Sn6 Sn 0.6667 0.3333 0.7013
O1 O 0.0000 0.0000 0.2567
O2 O 0.0000 0.0000 0.7432
O3 O 0.0056 0.5028 0.7451
O4 O 0.1414 0.2828 0.0902
O5 O 0.1690 0.3380 0.5481
O6 O 0.2878 0.1439 0.8991
O7 O 0.3333 0.6667 0.4051
O8 O 0.3333 0.6667 0.8795
O9 O 0.3623 0.1812 0.4118
O10 O 0.5083 0.0167 0.2382
O11 O 0.6667 0.3333 0.0897
O12 O 0.6667 0.3333 0.5626
```

Top 12 peaks for 5 to 70 degrees two-theta, low angle first:
- d 5.258, intensity 51, hkl 1 0 1
- d 4.870, intensity 94, hkl 0 0 3
- d 4.462, intensity 48, hkl 0 1 2
- d 3.065, intensity 23, hkl 1 0 4
- d 2.767, intensity 100, hkl 0 2 1
- d 2.705, intensity 54, hkl 1 1 3
- d 2.629, intensity 60, hkl 2 0 2
- d 2.594, intensity 30, hkl 0 1 5
- d 2.231, intensity 75, hkl 0 2 4
- d 1.721, intensity 26, hkl 1 2 5
- d 1.627, intensity 47, hkl 2 2 0
- d 1.532, intensity 28, hkl 2 0 8

=====

6.
# Rb3Sn4Au
Computed powder X-ray diffraction pattern, λ = 1.5418 Å (Cu Kα). Input: a GGA-PBE-relaxed structure.
Kinematic intensities with the Lorentz-polarization factor, no thermal factor.

Cell and atoms:
```
data_Rb3Sn4Au
_cell_length_a 7.320
_cell_length_b 14.818
_cell_length_c 6.687
_cell_angle_alpha 90.00
_cell_angle_beta 90.00
_cell_angle_gamma 90.00
_space_group_name_H-M_alt 'P m m n'
_space_group_IT_number 59
loop_
_space_group_symop_operation_xyz
'x,y,z'
'-x,-y,-z'
'-x+1/2,-y+1/2,z'
'x+1/2,y+1/2,-z'
'x+1/2,-y,-z'
'-x+1/2,y,z'
'-x,y+1/2,-z'
'x,-y+1/2,z'
loop_
_atom_site_label
_atom_site_type_symbol
_atom_site_fract_x
_atom_site_fract_y
_atom_site_fract_z
Rb1 Rb 0.250 0.054 0.067
Rb2 Rb 0.250 0.250 0.487
Sn1 Sn 0.039 0.750 0.064
Sn2 Sn 0.250 0.644 0.370
Au1 Au 0.250 0.750 0.716
```

Top 12 peaks for 5 to 70 degrees two-theta, low angle first:
- d 7.409, intensity 100, hkl 0 2 0
- d 6.563, intensity 68, hkl 1 1 0
- d 4.102, intensity 29, hkl 1 3 0
- d 3.660, intensity 24, hkl 2 0 0
- d 3.492, intensity 33, hkl 1 3 1
- d 2.979, intensity 18, hkl 1 1 2
- d 2.963, intensity 22, hkl 1 4 1
- d 2.946, intensity 55, hkl 2 2 1
- d 2.769, intensity 23, hkl 0 3 2
- d 2.206, intensity 19, hkl 0 1 3
- d 2.178, intensity 28, hkl 2 5 1
- d 1.955, intensity 17, hkl 3 1 2

=====

7.
# ScAgSn
Computed powder X-ray diffraction pattern, λ = 1.5418 Å (Cu Kα). Input: a GGA-PBE-relaxed structure.
Kinematic intensities with the Lorentz-polarization factor, no thermal factor.

Cell and atoms:
```
data_ScAgSn
_cell_length_a 7.1977
_cell_length_b 7.1977
_cell_length_c 4.3882
_cell_angle_alpha 90.00
_cell_angle_beta 90.00
_cell_angle_gamma 120.00
_space_group_name_H-M_alt 'P -6 2 m'
_space_group_IT_number 189
_space_group_name_Hall 'P -6 -2'
loop_
_atom_site_label
_atom_site_type_symbol
_atom_site_fract_x
_atom_site_fract_y
_atom_site_fract_z
Sc1 Sc 0.0000 0.5622 0.0000
Ag1 Ag 0.0000 0.2450 0.5000
Sn1 Sn 0.0000 0.0000 0.0000
Sn2 Sn 0.3333 0.6667 0.5000
```

Top 12 peaks for 5 to 70 degrees two-theta, low angle first:
- d 6.233, intensity 13, hkl 1 0 0
- d 4.388, intensity 31, hkl 0 0 1
- d 3.597, intensity 44, hkl 1 1 0
- d 2.783, intensity 50, hkl 1 1 1
- d 2.541, intensity 97, hkl 2 0 1
- d 2.356, intensity 38, hkl 2 1 0
- d 2.194, intensity 34, hkl 0 0 2
- d 2.076, intensity 100, hkl 3 0 0
- d 1.873, intensity 13, hkl 1 1 2
- d 1.606, intensity 21, hkl 2 1 2
- d 1.509, intensity 20, hkl 3 0 2
- d 1.360, intensity 41, hkl 4 1 0

=====

8.
# ErZn
Computed powder X-ray diffraction pattern, λ = 1.5418 Å (Cu Kα). Input: a GGA-PBE-relaxed structure.
Kinematic intensities with the Lorentz-polarization factor, no thermal factor.

Cell and atoms:
```
data_ErZn
_cell_length_a 3.542
_cell_length_b 3.542
_cell_length_c 3.542
_cell_angle_alpha 90.00
_cell_angle_beta 90.00
_cell_angle_gamma 90.00
_space_group_name_H-M_alt 'P m -3 m'
_space_group_IT_number 221
_space_group_name_Hall '-P 4 2 3'
loop_
_atom_site_label
_atom_site_type_symbol
_atom_site_fract_x
_atom_site_fract_y
_atom_site_fract_z
Er1 Er 0.000 0.000 0.000
Zn1 Zn 0.500 0.500 0.500
```

Top 6 peaks for 5 to 70 degrees two-theta, low angle first:
- d 3.542, intensity 19, hkl 1 0 0
- d 2.504, intensity 100, hkl 1 1 0
- d 2.045, intensity 6, hkl 1 1 1
- d 1.771, intensity 18, hkl 2 0 0
- d 1.584, intensity 8, hkl 2 1 0
- d 1.446, intensity 36, hkl 2 1 1

=====

9.
# KCuF3
Computed powder X-ray diffraction pattern, λ = 1.5418 Å (Cu Kα). Input: a GGA-PBE-relaxed structure.
Kinematic intensities with the Lorentz-polarization factor, no thermal factor.

Cell and atoms:
```
data_KCuF3
_cell_length_a 5.833
_cell_length_b 5.833
_cell_length_c 4.008
_cell_angle_alpha 90.00
_cell_angle_beta 90.00
_cell_angle_gamma 90.00
_space_group_name_H-M_alt 'P 4/m b m'
_space_group_IT_number 127
_space_group_name_Hall '-P 4 2ab'
loop_
_atom_site_label
_atom_site_type_symbol
_atom_site_fract_x
_atom_site_fract_y
_atom_site_fract_z
K1 K 0.000 0.000 0.000
Cu1 Cu 0.000 0.500 0.500
F1 F 0.000 0.500 0.000
F2 F 0.234 0.266 0.500
```

Top 12 peaks for 5 to 70 degrees two-theta, low angle first:
- d 4.125, intensity 36, hkl 1 1 0
- d 4.008, intensity 17, hkl 0 0 1
- d 2.916, intensity 53, hkl 2 0 0
- d 2.874, intensity 100, hkl 1 1 1
- d 2.062, intensity 61, hkl 2 2 0
- d 2.004, intensity 28, hkl 0 0 2
- d 1.845, intensity 7, hkl 3 1 0
- d 1.803, intensity 7, hkl 1 1 2
- d 1.676, intensity 36, hkl 3 1 1
- d 1.652, intensity 18, hkl 2 0 2
- d 1.458, intensity 17, hkl 4 0 0
- d 1.437, intensity 32, hkl 2 2 2

=====

10.
# MgNb3
Computed powder X-ray diffraction pattern, λ = 1.5418 Å (Cu Kα). Input: a GGA-PBE-relaxed structure.
Kinematic intensities with the Lorentz-polarization factor, no thermal factor.

Cell and atoms:
```
data_MgNb3
_cell_length_a 4.462
_cell_length_b 4.462
_cell_length_c 7.390
_cell_angle_alpha 90.00
_cell_angle_beta 90.00
_cell_angle_gamma 90.00
_space_group_name_H-M_alt 'I 4/m m m'
_space_group_IT_number 139
_space_group_name_Hall '-I 4 2'
loop_
_atom_site_label
_atom_site_type_symbol
_atom_site_fract_x
_atom_site_fract_y
_atom_site_fract_z
Mg1 Mg 0.000 0.000 0.000
Nb1 Nb 0.000 0.000 0.500
Nb2 Nb 0.000 0.500 0.250
```

Top 12 peaks for 5 to 70 degrees two-theta, low angle first:
- d 3.820, intensity 18, hkl 1 0 1
- d 3.695, intensity 4, hkl 0 0 2
- d 3.155, intensity 5, hkl 1 1 0
- d 2.399, intensity 100, hkl 1 1 2
- d 2.231, intensity 40, hkl 2 0 0
- d 2.157, intensity 4, hkl 1 0 3
- d 1.926, intensity 5, hkl 2 1 1
- d 1.910, intensity 2, hkl 2 0 2
- d 1.848, intensity 11, hkl 0 0 4
- d 1.578, intensity 13, hkl 2 2 0
- d 1.551, intensity 3, hkl 2 1 3
- d 1.423, intensity 18, hkl 2 0 4